# 1
Diffraction record for Pm7TmSc4. The powder diffractogram is calculated, not measured: it uses a PBE-relaxed structure and CuKα.
Neutral-atom scattering factors, no anomalous dispersion.

```
data_Pm7TmSc4
_chemical_formula_sum 'Pm7 Tm1 Sc4'
_space_group_name_H-M_alt 'P -1'
_space_group_IT_number 2
_cell_length_a 6.139
_cell_length_b 7.074
_cell_length_c 8.689
_cell_angle_alpha 90.02
_cell_angle_beta 103.62
_cell_angle_gamma 90.04
loop_
_space_group_symop_operation_xyz
'x,y,z'
'-x,-y,-z'
loop_
_atom_site_label
_atom_site_type_symbol
_atom_site_fract_x
_atom_site_fract_y
_atom_site_fract_z
Pm1 Pm 0.000 0.000 0.000
Pm2 Pm 0.223 0.499 0.664
Pm3 Pm 0.288 0.755 0.340
Pm4 Pm 0.497 0.243 0.009
Tm1 Tm 0.000 0.500 0.000
Sc1 Sc 0.214 0.001 0.659
Sc2 Sc 0.271 0.242 0.336
```

Most intense lines, 10 to 90 degrees two-theta, by angle:
(1 2 0), d = 3.044 Å, 2θ = 29.34°, I = 53; (0 0 3), d = 2.815 Å, 2θ = 31.79°, I = 48; (2 0 -2), d = 2.760 Å, 2θ = 32.44°, I = 100; (2 0 1), d = 2.623 Å, 2θ = 34.18°, I = 93; (-3 2 1), d = 1.770 Å, 2θ = 51.63°, I = 36; (2 0 -5), d = 1.645 Å, 2θ = 55.91°, I = 20; (2 0 4), d = 1.558 Å, 2θ = 59.30°, I = 20; (-3 2 4), d = 1.499 Å, 2θ = 61.91°, I = 35

=====

# 2
Diffraction record for Pm8Tm2Sc3. The powder diffractogram is calculated, not measured: it uses a PBE-relaxed structure and CuKα.
Neutral-atom scattering factors, no anomalous dispersion.

```
data_Pm8Tm2Sc3
_chemical_formula_sum 'Pm16 Tm4 Sc6'
_space_group_name_H-M_alt 'C 1 2/m 1'
_space_group_IT_number 12
_cell_length_a 14.833
_cell_length_b 8.898
_cell_length_c 6.632
_cell_angle_alpha 90.00
_cell_angle_beta 99.64
_cell_angle_gamma 90.00
loop_
_space_group_symop_operation_xyz
'x,y,z'
'-x,-y,-z'
'-x,y,-z'
'x,-y,z'
'x+1/2,y+1/2,z'
'-x+1/2,-y+1/2,-z'
'-x+1/2,y+1/2,-z'
'x+1/2,-y+1/2,z'
loop_
_atom_site_label
_atom_site_type_symbol
_atom_site_fract_x
_atom_site_fract_y
_atom_site_fract_z
Pm1 Pm 0.090 0.000 0.397
Pm2 Pm 0.112 0.183 0.934
Pm3 Pm 0.191 0.500 0.317
Tm1 Tm 0.195 0.500 0.800
Sc1 Sc 0.000 0.339 0.500
Sc2 Sc 0.000 0.500 0.000
```

Most intense lines, 10 to 90 degrees two-theta, by angle:
(0 2 0), d = 4.449 Å, 2θ = 19.96°, I = 31; (0 2 1), d = 3.678 Å, 2θ = 24.20°, I = 37; (2 0 2), d = 2.814 Å, 2θ = 31.80°, I = 81; (3 1 -2), d = 2.803 Å, 2θ = 31.93°, I = 100; (5 1 0), d = 2.779 Å, 2θ = 32.22°, I = 95; (4 2 -1), d = 2.724 Å, 2θ = 32.88°, I = 42; (1 3 1), d = 2.624 Å, 2θ = 34.17°, I = 56; (3 3 0), d = 2.534 Å, 2θ = 35.43°, I = 36

=====

# 3
Diffraction record for Pm7Tm3Sc2. The powder diffractogram is calculated, not measured: it uses a PBE-relaxed structure and CuKα.
Neutral-atom scattering factors, no anomalous dispersion.

```
data_Pm7Tm3Sc2
_chemical_formula_sum 'Pm14 Tm6 Sc4'
_space_group_name_H-M_alt 'C 1 2/m 1'
_space_group_IT_number 12
_cell_length_a 7.157
_cell_length_b 9.855
_cell_length_c 11.288
_cell_angle_alpha 90.00
_cell_angle_beta 108.41
_cell_angle_gamma 90.00
loop_
_space_group_symop_operation_xyz
'x,y,z'
'-x,-y,-z'
'-x,y,-z'
'x,-y,z'
'x+1/2,y+1/2,z'
'-x+1/2,-y+1/2,-z'
'-x+1/2,y+1/2,-z'
'x+1/2,-y+1/2,z'
loop_
_atom_site_label
_atom_site_type_symbol
_atom_site_fract_x
_atom_site_fract_y
_atom_site_fract_z
Pm1 Pm 0.000 0.000 0.000
Pm2 Pm 0.000 0.250 0.500
Pm3 Pm 0.165 0.250 0.829
Tm1 Tm 0.000 0.500 0.000
Tm2 Tm 0.169 0.000 0.338
Sc1 Sc 0.167 0.500 0.334
```

Most intense lines, 10 to 90 degrees two-theta, by angle:
(1 1 -2), d = 4.498 Å, 2θ = 19.74°, I = 8; (2 2 -1), d = 2.893 Å, 2θ = 30.91°, I = 100; (2 0 2), d = 2.528 Å, 2θ = 35.52°, I = 34; (0 4 0), d = 2.464 Å, 2θ = 36.47°, I = 16; (2 4 2), d = 1.764 Å, 2θ = 51.82°, I = 23; (4 2 1), d = 1.521 Å, 2θ = 60.90°, I = 21; (2 6 -1), d = 1.492 Å, 2θ = 62.20°, I = 14; (4 6 1), d = 1.146 Å, 2θ = 84.57°, I = 9

=====

# 4
Diffraction record for PmTmSc4. The powder diffractogram is calculated, not measured: it uses a PBE-relaxed structure and CuKα.
Neutral-atom scattering factors, no anomalous dispersion.

```
data_PmTmSc4
_chemical_formula_sum 'Pm4 Tm4 Sc16'
_space_group_name_H-M_alt 'C m c m'
_space_group_IT_number 63
_space_group_name_Hall '-C 2c 2'
_cell_length_a 6.542
_cell_length_b 18.477
_cell_length_c 5.320
_cell_angle_alpha 90.00
_cell_angle_beta 90.00
_cell_angle_gamma 90.00
loop_
_atom_site_label
_atom_site_type_symbol
_atom_site_fract_x
_atom_site_fract_y
_atom_site_fract_z
Pm1 Pm 0.000 0.123 0.250
Tm1 Tm 0.000 0.373 0.750
Sc1 Sc 0.245 0.458 0.250
Sc2 Sc 0.249 0.291 0.250
```

Most intense lines, 10 to 90 degrees two-theta, by angle:
(0 2 1), d = 4.613 Å, 2θ = 19.24°, I = 40; (0 6 1), d = 2.667 Å, 2θ = 33.60°, I = 100; (0 0 2), d = 2.660 Å, 2θ = 33.69°, I = 17; (0 4 2), d = 2.307 Å, 2θ = 39.05°, I = 7; (2 4 2), d = 1.885 Å, 2θ = 48.28°, I = 24; (0 12 0), d = 1.540 Å, 2θ = 60.06°, I = 15; (0 6 3), d = 1.538 Å, 2θ = 60.18°, I = 22; (4 0 2), d = 1.394 Å, 2θ = 67.16°, I = 13